Record 1
Computed powder diffraction line list
Compound: PrInSnBi
Radiation: a wavelength of 1.5418 Å
Structure: a crystal structure in Alexandria, relaxed with GGA-PBE
Peak positions follow from Bragg's law for the DFT cell and can differ from measured ones.

Main lines, most intense first (2θ from 10° to 80°):
d_spacing	2theta	intensity
2.804	31.9	100
2.523	35.6	19
2.457	36.6	17
1.505	61.6	15
2.319	38.8	15
1.477	62.9	15

Crystal structure
```
PrInSnBi
1.0
4.637 0.000 0.000
0.000 4.914 0.000
0.000 0.000 5.045
Pr In Sn Bi
1 1 1 1
Direct
0.000 0.000 0.000
0.000 0.500 0.500
0.500 0.500 0.000
0.500 0.000 0.500
```



Record 2
Computed powder diffraction line list
Compound: InBi12Pt4
Radiation: a wavelength of 1.5418 Å
Structure: a crystal structure in Alexandria, relaxed with GGA-PBE
Peak positions follow from Bragg's law for the DFT cell and can differ from measured ones.

Main lines, most intense first (2θ from 10° to 80°):
d_spacing	2theta	intensity
3.165	28.2	100
2.675	33.5	43
2.238	40.3	36
2.043	44.3	35
1.963	46.3	27
1.475	63.0	20

Crystal structure
```
InBi12Pt4
1.0
-5.004 5.004 5.004
5.004 -5.004 5.004
5.004 5.004 -5.004
In Bi Pt
1 12 4
Direct
0.000 0.000 0.000
0.157 0.337 0.494
0.157 0.663 0.820
0.180 0.843 0.337
0.337 0.180 0.843
0.337 0.494 0.157
0.494 0.157 0.337
0.506 0.843 0.663
0.663 0.506 0.843
0.663 0.820 0.157
0.820 0.157 0.663
0.843 0.337 0.180
0.843 0.663 0.506
0.000 0.000 0.500
0.000 0.500 0.000
0.500 0.000 0.000
0.500 0.500 0.500
```



Record 3
Computed powder diffraction line list
Compound: In2BiPtSe
Radiation: a wavelength of 1.5418 Å
Structure: a crystal structure in Alexandria, relaxed with GGA-PBE
Peak positions follow from Bragg's law for the DFT cell and can differ from measured ones.

Main lines, most intense first (2θ from 10° to 80°):
d_spacing	2theta	intensity
5.133	17.3	100
2.566	35.0	92
3.045	29.3	55
1.891	48.1	51
2.456	36.6	43
2.798	32.0	39

Crystal structure
```
In2BiPtSe
1.0
5.133 0.000 0.000
0.000 5.133 0.000
0.000 0.000 5.595
In Bi Pt Se
2 1 1 1
Direct
0.000 0.500 0.000
0.500 0.000 0.000
0.000 0.000 0.556
0.000 0.000 0.083
0.500 0.500 0.661
```



Record 4
Computed powder diffraction line list
Compound: Pu3InBi4
Radiation: a wavelength of 1.5418 Å
Structure: a crystal structure in Alexandria, relaxed with GGA-PBE
Peak positions follow from Bragg's law for the DFT cell and can differ from measured ones.

Main lines, most intense first (2θ from 10° to 80°):
d_spacing	2theta	intensity
2.631	34.1	100
2.984	29.9	35
2.904	30.8	33
2.081	43.5	26
1.646	55.9	25
1.619	56.9	24

Crystal structure
```
Pu3InBi4
1.0
3.395 0.000 0.000
0.000 5.809 0.000
0.000 0.000 11.936
Pu In Bi
3 1 4
Direct
0.000 0.000 0.000
0.000 0.500 0.253
0.000 0.500 0.747
0.000 0.000 0.500
0.500 0.000 0.244
0.500 0.000 0.756
0.500 0.500 0.000
0.500 0.500 0.500
```



Record 5
Computed powder diffraction line list
Compound: Rb2In12Bi7
Radiation: a wavelength of 1.5418 Å
Structure: a crystal structure in Alexandria, relaxed with GGA-PBE
Peak positions follow from Bragg's law for the DFT cell and can differ from measured ones.

Main lines, most intense first (2θ from 10° to 80°):
d_spacing	2theta	intensity
3.205	27.8	100
2.642	33.9	82
2.494	36.0	75
2.980	30.0	40
1.726	53.1	39
4.320	20.6	34

Crystal structure
```
Rb2In12Bi7
1.0
13.198 0.000 0.000
-6.599 11.430 0.000
0.000 0.000 4.781
Rb In Bi
2 12 7
Direct
0.333 0.667 0.246
0.667 0.333 0.754
0.045 0.439 0.752
0.101 0.252 0.239
0.151 0.899 0.239
0.252 0.151 0.761
0.395 0.955 0.752
0.439 0.395 0.248
0.561 0.605 0.752
0.605 0.045 0.248
0.748 0.849 0.239
0.849 0.101 0.761
0.899 0.748 0.761
0.955 0.561 0.248
0.000 0.000 0.500
0.133 0.728 0.747
0.272 0.405 0.747
0.405 0.133 0.253
0.595 0.867 0.747
0.728 0.595 0.253
0.867 0.272 0.253
```



Record 6
Computed powder diffraction line list
Compound: In2Bi8Rh
Radiation: a wavelength of 1.5418 Å
Structure: a crystal structure in Alexandria, relaxed with GGA-PBE
Peak positions follow from Bragg's law for the DFT cell and can differ from measured ones.

Main lines, most intense first (2θ from 10° to 80°):
d_spacing	2theta	intensity
3.661	24.3	100
2.668	33.6	91
2.782	32.2	67
2.933	30.5	65
2.204	41.0	52
2.910	30.7	52

Crystal structure
```
In2Bi8Rh
1.0
6.913 -4.407 0.000
6.913 4.407 0.000
-1.945 0.000 5.994
In Bi Rh
2 8 1
Direct
0.130 0.130 0.253
0.870 0.870 0.747
0.209 0.209 0.831
0.210 0.685 0.215
0.315 0.790 0.785
0.361 0.361 0.517
0.639 0.639 0.483
0.685 0.210 0.215
0.790 0.315 0.785
0.791 0.791 0.169
0.000 0.000 0.500
```



Record 7
Computed powder diffraction line list
Compound: In2BiS4
Radiation: a wavelength of 1.5418 Å
Structure: a crystal structure in Alexandria, relaxed with GGA-PBE
Peak positions follow from Bragg's law for the DFT cell and can differ from measured ones.

Main lines, most intense first (2θ from 10° to 80°):
d_spacing	2theta	intensity
3.464	25.7	100
2.020	44.9	73
2.856	31.3	54
3.438	25.9	45
3.421	26.0	40
6.543	13.5	36

Crystal structure
```
In2BiS4
1.0
-3.990 4.088 5.715
3.990 -4.088 5.715
3.990 4.088 -5.715
In Bi S
4 2 8
Direct
0.000 0.000 0.500
0.000 0.500 0.000
0.383 0.133 0.250
0.617 0.867 0.750
0.000 0.500 0.500
0.500 0.500 0.000
0.224 0.748 0.476
0.227 0.252 0.976
0.239 0.241 0.503
0.239 0.736 0.997
0.761 0.264 0.003
0.761 0.759 0.497
0.773 0.748 0.024
0.776 0.252 0.524
```



Record 8
Computed powder diffraction line list
Compound: In5Bi3S12
Radiation: a wavelength of 1.5418 Å
Structure: a crystal structure in Alexandria, relaxed with GGA-PBE
Peak positions follow from Bragg's law for the DFT cell and can differ from measured ones.

Main lines, most intense first (2θ from 10° to 80°):
d_spacing	2theta	intensity
3.648	24.4	100
2.774	32.3	76
2.711	33.0	54
3.301	27.0	51
1.962	46.3	51
3.626	24.6	46

Crystal structure
```
In5Bi3S12
1.0
16.876 -1.961 0.000
16.876 1.961 0.000
-0.028 0.000 14.503
In Bi S
10 6 24
Direct
0.000 0.000 0.000
0.000 0.000 0.500
0.070 0.070 0.221
0.218 0.218 0.916
0.326 0.326 0.281
0.402 0.402 0.006
0.598 0.598 0.994
0.674 0.674 0.719
0.782 0.782 0.084
0.930 0.930 0.779
0.133 0.133 0.485
0.324 0.324 0.771
0.446 0.446 0.290
0.554 0.554 0.710
0.676 0.676 0.229
0.867 0.867 0.515
0.005 0.005 0.318
0.062 0.062 0.900
0.114 0.114 0.681
0.125 0.125 0.103
0.192 0.192 0.348
0.222 0.222 0.736
0.227 0.227 0.091
0.320 0.320 0.461
0.337 0.337 0.102
0.397 0.397 0.688
0.447 0.447 0.474
0.466 0.466 0.895
0.534 0.534 0.105
0.553 0.553 0.526
0.603 0.603 0.312
0.663 0.663 0.898
0.680 0.680 0.539
0.773 0.773 0.909
0.778 0.778 0.264
0.808 0.808 0.652
0.875 0.875 0.897
0.886 0.886 0.319
0.938 0.938 0.100
0.995 0.995 0.682
```



Record 9
Computed powder diffraction line list
Compound: In4Bi2S9
Radiation: a wavelength of 1.5418 Å
Structure: a crystal structure in Alexandria, relaxed with GGA-PBE
Peak positions follow from Bragg's law for the DFT cell and can differ from measured ones.

Main lines, most intense first (2θ from 10° to 80°):
d_spacing	2theta	intensity
3.229	27.6	100
3.071	29.1	67
3.776	23.6	58
3.828	23.2	55
2.508	35.8	51
3.251	27.4	51

Crystal structure
```
In4Bi2S9
1.0
11.358 0.000 0.000
0.000 3.968 0.000
-1.218 0.000 16.658
In Bi S
8 4 18
Direct
0.003 0.250 0.218
0.009 0.750 0.406
0.240 0.750 0.084
0.364 0.250 0.318
0.636 0.750 0.682
0.760 0.250 0.916
0.991 0.250 0.594
0.997 0.750 0.782
0.366 0.250 0.572
0.390 0.250 0.906
0.610 0.750 0.094
0.634 0.750 0.428
0.094 0.250 0.088
0.112 0.250 0.742
0.125 0.750 0.546
0.140 0.250 0.346
0.231 0.750 0.926
0.359 0.750 0.220
0.400 0.750 0.435
0.403 0.750 0.680
0.415 0.250 0.061
0.585 0.750 0.939
0.597 0.250 0.320
0.600 0.250 0.565
0.641 0.250 0.780
0.769 0.250 0.074
0.860 0.750 0.654
0.875 0.250 0.454
0.888 0.750 0.258
0.906 0.750 0.912
```



Record 10
Computed powder diffraction line list
Compound: InBi2S6
Radiation: a wavelength of 1.5418 Å
Structure: a crystal structure in Alexandria, relaxed with GGA-PBE
Peak positions follow from Bragg's law for the DFT cell and can differ from measured ones.

Main lines, most intense first (2θ from 10° to 80°):
d_spacing	2theta	intensity
4.433	20.0	100
2.314	38.9	83
3.429	26.0	74
1.860	49.0	50
1.425	65.5	27
2.217	40.7	23

Crystal structure
```
InBi2S6
1.0
6.269 0.000 0.000
0.000 6.269 0.000
0.000 0.000 12.286
In Bi S
2 4 12
Direct
0.000 0.000 0.000
0.500 0.500 0.500
0.000 0.000 0.334
0.000 0.000 0.666
0.500 0.500 0.166
0.500 0.500 0.834
0.191 0.191 0.162
0.191 0.191 0.838
0.202 0.202 0.500
0.298 0.702 0.000
0.309 0.691 0.338
0.309 0.691 0.662
0.691 0.309 0.338
0.691 0.309 0.662
0.702 0.298 0.000
0.798 0.798 0.500
0.809 0.809 0.162
0.809 0.809 0.838
```



Record 11
Computed powder diffraction line list
Compound: InBiSb2
Radiation: a wavelength of 1.5418 Å
Structure: a crystal structure in Alexandria, relaxed with GGA-PBE
Peak positions follow from Bragg's law for the DFT cell and can differ from measured ones.

Main lines, most intense first (2θ from 10° to 80°):
d_spacing	2theta	intensity
3.982	22.3	100
2.438	36.9	80
2.079	43.5	51
1.408	66.4	27
1.582	58.3	21
1.724	53.1	14

Crystal structure
```
InBiSb2
1.0
-3.450 3.450 6.890
3.450 -3.450 6.890
3.450 3.450 -6.890
In Bi Sb
2 2 4
Direct
0.000 0.000 0.000
0.750 0.250 0.500
0.250 0.750 0.500
0.500 0.500 0.000
0.100 0.625 0.975
0.375 0.350 0.475
0.650 0.125 0.025
0.875 0.900 0.525
```



Record 12
Computed powder diffraction line list
Compound: Sr2In2Bi2Sb
Radiation: a wavelength of 1.5418 Å
Structure: a crystal structure in Alexandria, relaxed with GGA-PBE
Peak positions follow from Bragg's law for the DFT cell and can differ from measured ones.

Main lines, most intense first (2θ from 10° to 80°):
d_spacing	2theta	intensity
3.122	28.6	100
2.208	40.9	36
3.107	28.7	26
6.217	14.2	20
1.561	59.2	14
2.189	41.2	12

Crystal structure
```
Sr2In2Bi2Sb
1.0
4.417 0.000 0.000
-2.168 6.648 0.000
-0.014 -3.128 8.259
Sr In Bi Sb
2 2 2 1
Direct
0.020 0.037 0.279
0.980 0.963 0.721
0.267 0.534 0.883
0.733 0.466 0.117
0.298 0.597 0.403
0.702 0.403 0.597
0.500 0.000 0.000
```